Computed powder diffraction line list of Fe4GePC2 for copper Kα, from a cell relaxed with GGA-PBE.
Lines closer than 0.1° are merged.

Main lines, sorted by position (2θ from 10° to 90°):
Position (°2θ), d/Å, I (rel.)
35.10, 2.557, 26
38.89, 2.316, 9
43.23, 2.093, 100
50.09, 1.821, 11
62.63, 1.483, 11
62.96, 1.476, 23
79.45, 1.206, 15
84.48, 1.147, 13

Structural model:
Cell lengths 2.9525, 2.9525, 10.9258 Å; angles 90.00, 90.00, 120.00 degrees
Space group P-6m2 (No. 187)
Unique sites:
Fe: 0.0000 0.0000 0.1488 (multiplicity 2)
Fe: 0.3333 0.6667 0.3237 (multiplicity 2)
Ge: 0.0000 0.0000 0.5000 (multiplicity 1)
P: 0.3333 0.6667 0.0000 (multiplicity 1)
C: 0.6667 0.3333 0.2459 (multiplicity 2)



Computed powder diffraction line list of PrTmFe2Ge2C for copper Kα, from a cell relaxed with GGA-PBE.
Lines closer than 0.1° are merged.

Main lines, sorted by position (2θ from 10° to 90°):
Position (°2θ), d/Å, I (rel.)
33.31, 2.690, 95
33.64, 2.664, 64
34.78, 2.579, 49
35.74, 2.512, 100
36.01, 2.494, 54
39.25, 2.295, 68
40.69, 2.217, 41
45.19, 2.006, 51

Structural model:
Cell lengths 10.795, 4.013, 6.930 Å; angles 90.00, 128.95, 90.00 degrees
Space group Cm (No. 8)
Unique sites:
Pr: 0.000 0.000 0.000 (multiplicity 2)
Tm: 0.386 0.500 0.420 (multiplicity 2)
Fe: 0.132 0.500 0.788 (multiplicity 2)
Fe: 0.243 0.000 0.613 (multiplicity 2)
Ge: 0.106 0.500 0.423 (multiplicity 2)
Ge: 0.274 0.000 0.989 (multiplicity 2)
C: 0.435 0.000 0.689 (multiplicity 2)



Computed powder diffraction line list of TbScFe2Ge2C for copper Kα, from a cell relaxed with GGA-PBE.
Lines closer than 0.1° are merged.

Main lines, sorted by position (2θ from 10° to 90°):
Position (°2θ), d/Å, I (rel.)
34.10, 2.630, 85
34.49, 2.600, 64
35.48, 2.530, 46
36.85, 2.439, 100
37.23, 2.415, 41
39.99, 2.254, 86
42.28, 2.138, 49
46.48, 1.954, 52

Structural model:
Cell lengths 10.521, 3.907, 6.681 Å; angles 90.00, 128.09, 90.00 degrees
Space group Cm (No. 8)
Unique sites:
Tb: 0.000 0.000 0.000 (multiplicity 2)
Sc: 0.112 0.000 0.569 (multiplicity 2)
Fe: 0.257 0.500 0.381 (multiplicity 2)
Fe: 0.362 0.000 0.199 (multiplicity 2)
Ge: 0.217 0.500 0.987 (multiplicity 2)
Ge: 0.397 0.000 0.583 (multiplicity 2)
C: 0.062 0.500 0.302 (multiplicity 2)



- Number 3 is which compound?
  TbScFe2Ge2C